(1)
Sr2YBi2O7: computed XRD peak list (Cu Kα (λ = 1.5418 Å)), based on a DFT-relaxed cell (PBE, the Materials Project).
Peak positions follow from Bragg's law for the DFT cell and can differ from measured ones.

Main lines, by angle (2θ = 15–90°):
| d/Å | Position (°2θ) | intensity |
| --- | --- | --- |
| 3.914 | 22.7 | 26 |
| 3.563 | 25.0 | 42 |
| 3.142 | 28.4 | 100 |
| 2.912 | 30.7 | 23 |
| 2.028 | 44.7 | 19 |
| 1.722 | 53.2 | 19 |

Structural model:
```
data_Sr2YBi2O7
_chemical_formula_sum 'Sr8 Y4 Bi8 O28'
_space_group_name_H-M_alt 'I m a 2'
_space_group_IT_number 46
_cell_length_a 29.812
_cell_length_b 5.653
_cell_length_c 5.824
_cell_angle_alpha 90.00
_cell_angle_beta 90.00
_cell_angle_gamma 90.00
loop_
_space_group_symop_operation_xyz
'x,y,z'
'-x,-y,z'
'-x+1/2,y,z'
'x+1/2,-y,z'
'x+1/2,y+1/2,z+1/2'
'-x+1/2,-y+1/2,z+1/2'
'-x,y+1/2,z+1/2'
'x,-y+1/2,z+1/2'
loop_
_atom_site_label
_atom_site_fract_x
_atom_site_fract_y
_atom_site_fract_z
Sr1 0.191 0.100 0.000
Y1 0.000 0.000 0.032
Bi1 0.081 0.002 0.542
O1 0.045 0.749 0.773
O2 0.046 0.244 0.784
O3 0.153 0.050 0.629
O4 0.250 0.210 0.276
```

(2)
Ta3Bi4O14: computed XRD peak list (Cu Kα (λ = 1.5418 Å)), based on a DFT-relaxed cell (PBE, the Materials Project).
Peak positions follow from Bragg's law for the DFT cell and can differ from measured ones.

Main lines, by angle (2θ = 15–90°):
| d/Å | Position (°2θ) | intensity |
| --- | --- | --- |
| 3.123 | 28.6 | 54 |
| 3.096 | 28.8 | 100 |
| 2.960 | 30.2 | 40 |
| 2.668 | 33.6 | 48 |
| 2.631 | 34.1 | 23 |
| 1.913 | 47.5 | 45 |

Structural model:
```
data_Ta3Bi4O14
_chemical_formula_sum 'Ta12 Bi16 O56'
_space_group_name_H-M_alt 'C 1 2/c 1'
_space_group_IT_number 15
_cell_length_a 13.255
_cell_length_b 7.656
_cell_length_c 12.086
_cell_angle_alpha 90.00
_cell_angle_beta 101.61
_cell_angle_gamma 90.00
loop_
_space_group_symop_operation_xyz
'x,y,z'
'-x,-y,-z'
'-x,y,-z+1/2'
'x,-y,z+1/2'
'x+1/2,y+1/2,z'
'-x+1/2,-y+1/2,-z'
'-x+1/2,y+1/2,-z+1/2'
'x+1/2,-y+1/2,z+1/2'
loop_
_atom_site_label
_atom_site_fract_x
_atom_site_fract_y
_atom_site_fract_z
Ta1 0.000 0.151 0.250
Ta2 0.249 0.109 0.741
Bi1 0.115 0.141 0.969
Bi2 0.118 0.390 0.507
O1 0.004 0.134 0.416
O2 0.023 0.392 0.920
O3 0.110 0.042 0.772
O4 0.111 0.323 0.281
O5 0.206 0.349 0.086
O6 0.206 0.359 0.717
O7 0.209 0.063 0.582
```

(3)
TaBiO5: computed XRD peak list (Cu Kα (λ = 1.5418 Å)), based on a DFT-relaxed cell (PBE, the Materials Project).
Peak positions follow from Bragg's law for the DFT cell and can differ from measured ones.

Main lines, by angle (2θ = 15–90°):
| d/Å | Position (°2θ) | intensity |
| --- | --- | --- |
| 5.182 | 17.1 | 99 |
| 3.829 | 23.2 | 55 |
| 3.807 | 23.4 | 53 |
| 3.345 | 26.6 | 100 |
| 2.644 | 33.9 | 50 |
| 2.610 | 34.4 | 51 |

Structural model:
```
data_TaBiO5
_chemical_formula_sum 'Ta8 Bi8 O40'
_space_group_name_H-M_alt 'P b c a'
_space_group_IT_number 61
_cell_length_a 6.163
_cell_length_b 16.073
_cell_length_c 11.910
_cell_angle_alpha 90.00
_cell_angle_beta 90.00
_cell_angle_gamma 90.00
loop_
_space_group_symop_operation_xyz
'x,y,z'
'-x,-y,-z'
'-x+1/2,-y,z+1/2'
'x+1/2,y,-z+1/2'
'x+1/2,-y+1/2,-z'
'-x+1/2,y+1/2,z'
'-x,y+1/2,-z+1/2'
'x,-y+1/2,z+1/2'
loop_
_atom_site_label
_atom_site_fract_x
_atom_site_fract_y
_atom_site_fract_z
Ta1 0.020 0.116 0.102
Bi1 0.080 0.706 0.682
O1 0.123 0.204 0.207
O2 0.137 0.538 0.323
O3 0.155 0.669 0.513
O4 0.225 0.145 0.799
O5 0.240 0.569 0.044
```

(4)
Ta7BiO19: computed XRD peak list (Cu Kα (λ = 1.5418 Å)), based on a DFT-relaxed cell (PBE, the Materials Project).
Peak positions follow from Bragg's law for the DFT cell and can differ from measured ones.

Main lines, by angle (2θ = 15–90°):
| d/Å | Position (°2θ) | intensity |
| --- | --- | --- |
| 3.381 | 26.4 | 70 |
| 3.112 | 28.7 | 100 |
| 3.008 | 29.7 | 51 |
| 2.676 | 33.5 | 57 |
| 2.488 | 36.1 | 50 |
| 1.601 | 57.6 | 46 |

Structural model:
```
data_Ta7BiO19
_chemical_formula_sum 'Ta14 Bi2 O38'
_space_group_name_H-M_alt 'P 63 2 2'
_space_group_IT_number 182
_space_group_name_Hall 'P 6c 2c'
_cell_length_a 6.2995
_cell_length_b 6.2995
_cell_length_c 20.2860
_cell_angle_alpha 90.00
_cell_angle_beta 90.00
_cell_angle_gamma 120.00
loop_
_atom_site_label
_atom_site_fract_x
_atom_site_fract_y
_atom_site_fract_z
Ta1 0.0025 0.3588 0.4057
Ta2 0.3333 0.6667 0.2500
Bi1 0.3333 0.6667 0.7500
O1 0.0000 0.3916 0.5000
O2 0.0028 0.2459 0.9032
O3 0.0471 0.4287 0.3062
O4 0.3333 0.6667 0.0905
O5 0.3333 0.6667 0.6110
```